The following is a theoretical X-ray diffraction stick pattern of K2HoSbS4. It was derived from a crystal structure in Alexandria, relaxed with GGA-PBE, using Cu Kα (weighted mean of Kα1 and Kα2).
Lines closer than 0.1° are merged.

Peak list (10 most intense, 2θ from 10° to 80°, by angle)
| (hkl) | 2theta | I/Imax |
| --- | --- | --- |
| 0 1 1 | 12.9 | 40 |
| 1 0 1 | 13.0 | 19 |
| 0 1 3 | 24.9 | 13 |
| 0 2 2 | 26.0 | 23 |
| 2 0 2 | 26.2 | 22 |
| 2 2 0 | 30.2 | 100 |
| 0 4 0 | 43.0 | 12 |
| 2 2 4 | 43.2 | 46 |
| 0 2 6 | 51.0 | 13 |
| 4 4 4 | 71.2 | 18 |

```
data_K2HoSbS4
_symmetry_space_group_name_H-M 'I m m a'
_symmetry_Int_Tables_number 74
_symmetry_space_group_name_Hall '-I 2b 2'
_cell_length_a 8.3216
_cell_length_b 8.4186
_cell_length_c 11.8442
_cell_angle_alpha 90.00
_cell_angle_beta 90.00
_cell_angle_gamma 90.00
loop_
_atom_site_label
_atom_site_fract_x
_atom_site_fract_y
_atom_site_fract_z
K1 0.0000 0.0000 0.0000
K2 0.2500 0.2500 0.2500
Ho1 0.2500 0.2500 0.7500
Sb1 0.0000 0.0000 0.5000
S1 0.0000 0.0319 0.7361
S2 0.2241 0.2500 0.5168
```

=====

The following is a theoretical X-ray diffraction stick pattern of K3Ho3TeS8. It was derived from a crystal structure in Alexandria, relaxed with GGA-PBE, using Cu Kα (weighted mean of Kα1 and Kα2).
Lines closer than 0.1° are merged.

Peak list (10 most intense, 2θ from 10° to 80°, by angle)
| (hkl) | 2theta | I/Imax |
| --- | --- | --- |
| 0 0 3 | 11.8 | 100 |
| 0 0 6 | 23.8 | 16 |
| 0 2 1 | 26.1 | 30 |
| 2 0 2 | 27.0 | 29 |
| 0 2 4 | 30.4 | 95 |
| 0 2 7 | 38.3 | 24 |
| 2 0 8 | 41.4 | 34 |
| 2 2 0 | 45.4 | 31 |
| 2 2 3 | 47.1 | 20 |
| 4 0 4 | 55.6 | 16 |

```
data_K3Ho3TeS8
_symmetry_space_group_name_H-M 'R -3 m'
_symmetry_Int_Tables_number 166
_symmetry_space_group_name_Hall '-R 3 2"'
_cell_length_a 7.9885
_cell_length_b 7.9885
_cell_length_c 22.4423
_cell_angle_alpha 90.00
_cell_angle_beta 90.00
_cell_angle_gamma 120.00
loop_
_atom_site_label
_atom_site_fract_x
_atom_site_fract_y
_atom_site_fract_z
K1 0.0000 0.5000 0.0000
Ho1 0.0000 0.5000 0.5000
Te1 0.0000 0.0000 0.5000
S1 0.0000 0.0000 0.2329
S2 0.0065 0.5032 0.2320
```

=====

The following is a theoretical X-ray diffraction stick pattern of KHoTeS. It was derived from a crystal structure in Alexandria, relaxed with GGA-PBE, using Cu Kα (weighted mean of Kα1 and Kα2).
Lines closer than 0.1° are merged.

Peak list (10 most intense, 2θ from 10° to 80°, by angle)
| (hkl) | 2theta | I/Imax |
| --- | --- | --- |
| 0 0 3 | 11.0 | 99 |
| 0 1 2 | 25.5 | 83 |
| 0 1 5 | 30.7 | 100 |
| 1 0 7 | 35.8 | 51 |
| 1 1 0 | 43.0 | 46 |
| 1 1 3 | 44.5 | 21 |
| 0 0 12 | 45.0 | 32 |
| 1 1 12 | 64.0 | 26 |
| 1 2 5 | 71.2 | 22 |
| 2 1 7 | 74.1 | 21 |

```
data_KHoTeS
_symmetry_space_group_name_H-M 'R 3 m'
_symmetry_Int_Tables_number 160
_symmetry_space_group_name_Hall 'R 3 -2"'
_cell_length_a 4.2080
_cell_length_b 4.2080
_cell_length_c 24.1901
_cell_angle_alpha 90.00
_cell_angle_beta 90.00
_cell_angle_gamma 120.00
loop_
_atom_site_label
_atom_site_fract_x
_atom_site_fract_y
_atom_site_fract_z
K1 0.0000 0.0000 0.0000
Ho1 0.0000 0.0000 0.1551
Te1 0.0000 0.0000 0.5655
S1 0.0000 0.0000 0.7646
```

=====

The following is a theoretical X-ray diffraction stick pattern of K3Ho3SbTe8. It was derived from a crystal structure in Alexandria, relaxed with GGA-PBE, using Cu Kα (weighted mean of Kα1 and Kα2).
Lines closer than 0.1° are merged.

Peak list (10 most intense, 2θ from 10° to 80°, by angle)
| (hkl) | 2theta | I/Imax |
| --- | --- | --- |
| 0 0 1 | 10.5 | 61 |
| 4 0 0 | 27.3 | 100 |
| 2 2 -3 | 34.2 | 24 |
| 4 0 -4 | 36.9 | 11 |
| 2 2 2 | 36.9 | 23 |
| 0 4 0 | 40.9 | 36 |
| 6 2 -3 | 42.3 | 13 |
| 4 0 -5 | 46.1 | 16 |
| 4 4 0 | 49.9 | 12 |
| 6 2 3 | 70.3 | 11 |

```
data_K3Ho3SbTe8
_symmetry_space_group_name_H-M 'C 1 2/m 1'
_symmetry_Int_Tables_number 12
_symmetry_space_group_name_Hall '-C 2y'
_cell_length_a 15.3115
_cell_length_b 8.8195
_cell_length_c 9.8566
_cell_angle_alpha 90.00
_cell_angle_beta 121.26
_cell_angle_gamma 90.00
loop_
_atom_site_label
_atom_site_fract_x
_atom_site_fract_y
_atom_site_fract_z
K1 0.0000 0.0000 0.0000
K2 0.2500 0.2500 0.0000
Ho1 0.0000 0.5000 0.5000
Ho2 0.2500 0.2500 0.5000
Sb1 0.0000 0.0000 0.5000
Te1 0.0149 0.2492 0.2960
Te2 0.2343 0.0000 0.7042
Te3 0.2361 0.5000 0.7081
```